Calculated powder X-ray diffraction pattern
Compound: Mg5Ni9P7
Radiation: Cu Kα X-rays
Structure: a GGA-PBE-relaxed structure
No peak broadening, texture or thermal motion is included.

Crystal structure
a = 9.3250 Å, b = 9.3250 Å, c = 3.6508 Å
α = 90.00°, β = 90.00°, γ = 120.00°
Space group P-6 (No. 174)
One atom of each set of equivalent atoms:
Mg1 0.0000 0.0000 0.0000 x1
Mg2 0.1059 0.5605 0.5000 x3
Mg3 0.6667 0.3333 0.5000 x1
Ni1 0.1699 0.3756 0.0000 x3
Ni2 0.2785 0.0601 0.5000 x3
Ni3 0.4065 0.3071 0.0000 x3
P1 0.0471 0.8040 0.5000 x3
P2 0.3333 0.6667 0.0000 x1
P3 0.4460 0.0929 0.0000 x3

The 10 most intense peaks (10 to 90 degrees two-theta), low angle first:
- hkl 1 1 0, 19.03°, I = 23
- hkl 2 0 0, 22.01°, I = 12
- hkl 1 2 1, 38.44°, I = 100
- hkl 4 0 0, 44.90°, I = 13
- hkl 3 1 1, 47.63°, I = 28
- hkl 2 3 0, 49.18°, I = 18
- hkl 0 0 2, 49.96°, I = 23
- hkl 4 0 1, 51.74°, I = 24
- hkl 4 1 0, 51.88°, I = 21
- hkl 4 1 2, 74.90°, I = 13

=====

Calculated powder X-ray diffraction pattern
Compound: MgNiPb2
Radiation: Cu Kα X-rays
Structure: a GGA-PBE-relaxed structure
No peak broadening, texture or thermal motion is included.

Crystal structure
a = 3.253 Å, b = 4.459 Å, c = 13.309 Å
α = 90.00°, β = 90.00°, γ = 90.00°
Space group Immm (No. 71)
One atom of each set of equivalent atoms:
Mg1 0.000 0.000 0.000 x2
Ni1 0.000 0.000 0.500 x2
Pb1 0.000 0.500 0.170 x4

The 10 most intense peaks (10 to 90 degrees two-theta), low angle first:
- hkl 0 0 2, 13.31°, I = 22
- hkl 0 1 1, 21.01°, I = 62
- hkl 0 1 3, 28.38°, I = 72
- hkl 1 0 3, 34.16°, I = 100
- hkl 1 1 2, 36.77°, I = 52
- hkl 0 2 0, 40.46°, I = 26
- hkl 0 0 6, 40.68°, I = 26
- hkl 1 1 4, 43.92°, I = 30
- hkl 1 2 3, 53.98°, I = 37
- hkl 1 1 6, 54.11°, I = 19